Starting from a structure optimized by DFT (GGA-PBE), the powder X-ray diffraction pattern of TbTa3O9 was simulated for Cu Kα.

Structural model:
```
TbTa3O9
1.0
8.3636 -2.7935 0.0000
8.3636 2.7935 0.0000
-5.5779 0.0000 7.9290
Tb Ta O
2 6 18
Cartesian
3.0263 0.0000 0.0167
8.1230 0.0000 7.9123
0.0091 0.2749 1.9639
0.0755 0.2356 5.8258
5.6878 0.2507 2.0449
5.4615 0.2507 5.8841
11.0738 0.2356 2.1032
11.1402 0.2749 5.9651
4.0737 1.6258 1.6774
-0.0743 0.2454 3.9393
6.7862 1.8863 1.8007
4.3632 1.8863 6.1283
-0.1026 0.4279 7.9227
1.5724 -0.9365 1.8525
7.0756 1.6258 6.2515
5.5747 0.3649 3.9645
1.4292 -1.0505 6.0202
4.2984 -1.1661 1.7028
11.2519 0.4279 0.0062
4.1074 -1.0183 6.0330
7.0419 -1.0183 1.8959
11.2236 0.2454 3.9897
9.7201 -1.0505 1.9087
6.8509 -1.1661 6.2262
8.3636 -2.4986 0.0000
9.5769 -0.9365 6.0765
```

Principal peaks in the range 10 to 90 degrees two-theta, low angle first:
d/Å	2θ (°)	I_rel
7.920	11.2	18
3.964	22.4	24
3.947	22.5	48
3.534	25.2	14
2.796	32.0	100
2.788	32.1	22
1.973	46.0	23
1.767	51.7	18
1.616	57.0	12
1.614	57.1	19
1.611	57.2	15
1.398	66.9	13